Record 1
Na3Cd3ReO8: computed PXRD pattern (Cu Kα), based on a crystal structure in Alexandria, relaxed with PBE.
Lines closer than 0.1° are merged.

Atomic structure:
a = 6.699 Å, b = 6.699 Å, c = 6.699 Å
α = 60.78°, β = 60.78°, γ = 60.78°
Atoms (fractional coordinates):
1 Na 0.000 0.500 0.500
2 Na 0.500 0.000 0.500
3 Na 0.500 0.500 0.000
4 Cd 0.000 0.000 0.500
5 Cd 0.000 0.500 0.000
6 Cd 0.500 0.000 0.000
7 Re 0.500 0.500 0.500
8 O 0.232 0.232 0.232
9 O 0.299 0.299 0.698
10 O 0.299 0.698 0.299
11 O 0.302 0.701 0.701
12 O 0.698 0.299 0.299
13 O 0.701 0.302 0.701
14 O 0.701 0.701 0.302
15 O 0.768 0.768 0.768

The 10 most intense peaks (15° ≤ 2θ ≤ 90°), low angle first:
2theta, intensity
16.05, 19
16.30, 100
30.96, 51
32.42, 54
37.76, 75
41.38, 19
49.98, 18
54.12, 24
54.82, 22
56.91, 21



Record 2
Na2CdRh2O6: computed PXRD pattern (Cu Kα), based on a crystal structure in Alexandria, relaxed with PBE.
Lines closer than 0.1° are merged.

Atomic structure:
a = 5.564 Å, b = 5.564 Å, c = 5.767 Å
α = 98.76°, β = 98.76°, γ = 121.54°
Atoms (fractional coordinates):
1 Na 0.164 0.836 0.000
2 Na 0.836 0.164 0.000
3 Cd 0.000 0.000 0.500
4 Rh 0.335 0.665 0.500
5 Rh 0.665 0.335 0.500
6 O 0.054 0.433 0.696
7 O 0.302 0.302 0.302
8 O 0.433 0.054 0.696
9 O 0.567 0.946 0.304
10 O 0.698 0.698 0.698
11 O 0.946 0.567 0.304

The 10 most intense peaks (15° ≤ 2θ ≤ 90°), low angle first:
2theta, intensity
16.18, 100
32.66, 41
33.44, 12
34.04, 26
34.75, 12
39.09, 45
39.82, 22
50.86, 11
55.65, 14
58.38, 13



Record 3
Na3CdRh8O16: computed PXRD pattern (Cu Kα), based on a crystal structure in Alexandria, relaxed with PBE.
Lines closer than 0.1° are merged.

Atomic structure:
a = 9.136 Å, b = 3.104 Å, c = 10.949 Å
α = 90.00°, β = 90.12°, γ = 90.00°
Atoms (fractional coordinates):
1 Na 0.000 0.000 0.000
2 Na 0.029 0.500 0.501
3 Na 0.500 0.000 0.815
4 Cd 0.527 0.500 0.318
5 Rh 0.175 0.500 0.762
6 Rh 0.204 0.500 0.274
7 Rh 0.318 0.000 0.040
8 Rh 0.352 0.000 0.560
9 Rh 0.676 0.500 0.053
10 Rh 0.712 0.500 0.542
11 Rh 0.820 0.000 0.774
12 Rh 0.854 0.000 0.257
13 O 0.067 0.000 0.319
14 O 0.147 0.000 0.638
15 O 0.180 0.500 0.088
16 O 0.226 0.000 0.871
17 O 0.312 0.500 0.443
18 O 0.348 0.000 0.226
19 O 0.376 0.500 0.682
20 O 0.458 0.500 0.997
21 O 0.567 0.000 0.494
22 O 0.647 0.000 0.181
23 O 0.681 0.500 0.728
24 O 0.728 0.000 0.944
25 O 0.792 0.500 0.365
26 O 0.847 0.000 0.590
27 O 0.880 0.500 0.134
28 O 0.959 0.500 0.817

The 10 most intense peaks (15° ≤ 2θ ≤ 90°), low angle first:
2theta, intensity
18.90, 27
19.43, 37
32.72, 49
33.68, 93
34.64, 100
34.95, 43
48.63, 38
49.55, 23
59.60, 38
70.20, 22